Theoretical powder diffraction line list
Compound: Li2ZrIn
Radiation: Cu Ka
Structure: a DFT-relaxed cell (GGA-PBE, Alexandria)
No peak broadening, texture or thermal motion is included.

Structure:
abc: 9.918 2.943 5.541
angles: 90.00 95.96 90.00
Fractional positions:
Li 0.243 0.000 0.237
Li 0.257 0.500 0.763
Li 0.743 0.500 0.237
Li 0.757 0.000 0.763
Zr 0.000 0.000 0.500
Zr 0.500 0.500 0.500
In 0.000 0.500 0.000
In 0.500 0.000 0.000

Main lines, by intensity (2θ = 10–90°):
two_theta  d (Å)  I_rel  hkl
17.98  4.932  1000  2 0 0
36.20  2.481  416  1 1 1
35.31  2.542  367  1 1 -1
43.34  2.088  249  3 1 -1
32.49  2.756  231  0 0 2
35.63  2.520  218  2 0 -2
36.43  2.466  204  4 0 0
45.56  1.991  177  3 1 1